The following is a simulated X-ray diffraction stick pattern of La2AsW. It was derived from DFT lattice parameters and positions (PBE), using CuKα.
Lines closer than 0.1° are merged.

Structure:
Lattice parameters (Å, degrees): 4.3763 4.3207 5.9789 90.00 111.42 90.00
Space group Pm (No. 6)
One atom of each set of equivalent atoms:
La 0.0000 0.0000 0.0000 (multiplicity 1)
La 0.2785 0.5000 0.5590 (multiplicity 1)
As 0.5768 0.5000 0.1537 (multiplicity 1)
W 0.7062 0.0000 0.4149 (multiplicity 1)

Top 10 peaks for 10° ≤ 2θ ≤ 80°, by intensity:
d = 2.964 Å, 30.2 deg, I 1000, (1 1 -1); d = 2.367 Å, 38.0 deg, I 715, (1 1 1); d = 2.830 Å, 31.6 deg, I 464, (1 0 1); d = 2.340 Å, 38.5 deg, I 307, (0 1 2); d = 2.188 Å, 41.3 deg, I 280, (2 0 -1); d = 2.160 Å, 41.8 deg, I 270, (0 2 0); d = 5.566 Å, 15.9 deg, I 230, (0 0 1); d = 1.705 Å, 53.8 deg, I 226, (0 1 3); d = 1.717 Å, 53.4 deg, I 212, (1 2 1); d = 1.345 Å, 69.9 deg, I 205, (2 1 2)



The following is a simulated X-ray diffraction stick pattern of Pr3DyIn. It was derived from DFT lattice parameters and positions (PBE), using CuKα.
Lines closer than 0.1° are merged.

Structure:
Lattice parameters (Å, degrees): 4.9487 25.9295 4.9460 90.00 90.00 90.00
Space group Cmcm (No. 63)
One atom of each set of equivalent atoms:
Pr 0.0000 0.0541 0.2500 (multiplicity 4)
Pr 0.0000 0.2506 0.2500 (multiplicity 4)
Pr 0.0000 0.4437 0.2500 (multiplicity 4)
Dy 0.0000 0.3480 0.7500 (multiplicity 4)
In 0.0000 0.1536 0.7500 (multiplicity 4)

Top 10 peaks for 10° ≤ 2θ ≤ 80°, by intensity:
d = 2.900 Å, 30.8 deg, I 1000, (1 5 1); d = 2.474 Å, 36.3 deg, I 327, (2 0 0); d = 1.498 Å, 62.0 deg, I 270, (3 5 1); d = 1.790 Å, 51.0 deg, I 233, (2 10 0); d = 2.593 Å, 34.6 deg, I 176, (0 10 0); d = 1.550 Å, 59.7 deg, I 135, (1 15 1); d = 1.450 Å, 64.2 deg, I 116, (2 10 2); d = 1.749 Å, 52.3 deg, I 115, (2 0 2); d = 1.237 Å, 77.1 deg, I 36, (4 0 0); d = 1.296 Å, 73.0 deg, I 17, (0 20 0)